Entry 1:
# InAgO2
Simulated powder diffraction line list, copper Kα. Input: the PBE geometry in the Materials Project.
Lines closer than 0.1° are merged.

Largest 8 diffraction maxima, by angle, 2θ = 10–90°:
(hkl)	2θ (°)	I_rel
0 0 6	27.9	39
0 1 2	32.4	100
1 0 4	36.3	52
0 1 8	49.4	33
1 1 0	55.1	25
1 0 10	57.6	26
1 1 6	62.9	23
0 2 10	83.8	17

Structural model:
```
data_InAgO2
_cell_length_a 3.3328
_cell_length_b 3.3328
_cell_length_c 19.2037
_cell_angle_alpha 90.00
_cell_angle_beta 90.00
_cell_angle_gamma 120.00
_space_group_name_H-M_alt 'R -3 m'
_space_group_IT_number 166
_space_group_name_Hall '-R 3 2"'
loop_
_atom_site_label
_atom_site_fract_x
_atom_site_fract_y
_atom_site_fract_z
In1 0.0000 0.0000 0.0000
Ag1 0.0000 0.0000 0.5000
O1 0.0000 0.0000 0.3900
```



Entry 2:
# NdSmFe17N3
Simulated powder diffraction line list, copper Kα. Input: the PBE geometry in the Materials Project.
Lines closer than 0.1° are merged.

Largest 8 diffraction maxima, by angle, 2θ = 10–90°:
(hkl)	2θ (°)	I_rel
1 1 3	29.6	40
3 0 0	35.7	39
0 2 4	37.3	29
2 2 0	41.4	79
3 0 3	41.9	100
0 0 6	43.4	50
1 4 3	60.4	21
3 2 4	61.2	26

Structural model:
```
data_NdSmFe17N3
_cell_length_a 8.7163
_cell_length_b 8.7163
_cell_length_c 12.5197
_cell_angle_alpha 90.00
_cell_angle_beta 90.00
_cell_angle_gamma 120.00
_space_group_name_H-M_alt 'R 3 m'
_space_group_IT_number 160
_space_group_name_Hall 'R 3 -2"'
loop_
_atom_site_label
_atom_site_fract_x
_atom_site_fract_y
_atom_site_fract_z
Nd1 0.0000 0.0000 0.0000
Sm1 0.0000 0.0000 0.6859
Fe1 0.0000 0.0000 0.2495
Fe2 0.0000 0.0000 0.4379
Fe3 0.0004 0.2826 0.3435
Fe4 0.0002 0.5001 0.8433
Fe5 0.0112 0.5056 0.1907
Fe6 0.1716 0.3433 0.8296
N1 0.0031 0.5015 0.3436
```



Entry 3:
# Mg2TiCo3S8
Simulated powder diffraction line list, copper Kα. Input: the PBE geometry in the Materials Project.
Lines closer than 0.1° are merged.

Largest 8 diffraction maxima, by angle, 2θ = 10–90°:
(hkl)	2θ (°)	I_rel
1 0 1	15.4	57
0 0 3	15.6	45
0 2 1	29.6	23
1 1 3	29.7	35
0 2 4	36.1	100
0 2 7	47.7	23
2 2 0	51.6	50
2 0 8	52.3	41

Structural model:
```
data_Mg2TiCo3S8
_cell_length_a 7.0825
_cell_length_b 7.0825
_cell_length_c 17.0441
_cell_angle_alpha 90.00
_cell_angle_beta 90.00
_cell_angle_gamma 120.00
_space_group_name_H-M_alt 'R -3 m'
_space_group_IT_number 166
_space_group_name_Hall '-R 3 2"'
loop_
_atom_site_label
_atom_site_fract_x
_atom_site_fract_y
_atom_site_fract_z
Mg1 0.0000 0.0000 0.1247
Ti1 0.0000 0.0000 0.5000
Co1 0.0000 0.5000 0.0000
S1 0.0000 0.0000 0.2689
S2 0.0343 0.5172 0.2609
```



Entry 4:
# CoRh2S4
Simulated powder diffraction line list, copper Kα. Input: the PBE geometry in the Materials Project.
Lines closer than 0.1° are merged.

Largest 8 diffraction maxima, by angle, 2θ = 10–90°:
(hkl)	2θ (°)	I_rel
1 1 1	15.8	32
2 2 0	26.0	14
3 1 1	30.6	100
4 0 0	37.1	52
5 1 1	48.9	37
4 4 0	53.5	71
5 3 3	62.9	12
5 5 3	75.4	20

Structural model:
Cell lengths 9.6847, 9.6847, 9.6847 Å; angles 90.00, 90.00, 90.00 degrees
Space group Fd-3m (No. 227, origin choice 2)
Symmetry-distinct sites (fractional):
Co (0.1250, 0.1250, 0.1250) [8 per cell]
Rh (0.0000, 0.0000, 0.5000) [16 per cell]
S (0.0027, 0.0027, 0.7473) [32 per cell]



Entry 5:
# MgCr4S10
Simulated powder diffraction line list, copper Kα. Input: the PBE geometry in the Materials Project.
Lines closer than 0.1° are merged.

Largest 8 diffraction maxima, by angle, 2θ = 10–90°:
(hkl)	2θ (°)	I_rel
0 1 0	15.0	100
1 0 1	22.6	64
0 1 -3	24.4	28
0 0 4	25.6	28
1 1 0	26.5	50
0 2 0	30.3	37
0 0 6	38.8	26
2 0 0	44.3	36

Structural model:
```
data_MgCr4S10
_cell_length_a 4.0930
_cell_length_b 5.9044
_cell_length_c 13.9215
_cell_angle_alpha 89.87
_cell_angle_beta 90.00
_cell_angle_gamma 90.00
_space_group_name_H-M_alt 'P 1'
_space_group_IT_number 1
loop_
_space_group_symop_operation_xyz
'x,y,z'
loop_
_atom_site_label
_atom_site_fract_x
_atom_site_fract_y
_atom_site_fract_z
Mg1 0.0000 0.0000 0.0000
Cr1 0.4990 0.5187 0.1502
Cr2 0.4990 0.5194 0.8485
Cr3 0.9990 0.7194 0.6478
Cr4 0.9988 0.7215 0.3510
S1 0.4994 0.1691 0.1138
S2 0.4995 0.1695 0.8851
S3 0.4990 0.5528 0.6803
S4 0.4988 0.5568 0.3185
S5 0.4995 0.6866 0.9998
S6 0.9989 0.0557 0.6443
S7 0.9988 0.0575 0.3541
S8 0.9987 0.6193 0.4994
S9 0.9989 0.6671 0.1830
S10 0.9990 0.6681 0.8166
```



Entry 6:
# Eu2Si
Simulated powder diffraction line list, copper Kα. Input: the PBE geometry in the Materials Project.
Lines closer than 0.1° are merged.

Largest 8 diffraction maxima, by angle, 2θ = 10–90°:
(hkl)	2θ (°)	I_rel
1 1 1	23.5	36
1 1 2	28.8	100
2 1 0	29.7	41
2 1 1	31.2	79
0 1 3	33.9	47
0 2 0	36.4	44
3 2 1	52.7	34
3 1 4	56.7	35

Structural model:
```
data_Eu2Si
_cell_length_a 7.5769
_cell_length_b 4.9386
_cell_length_c 9.3790
_cell_angle_alpha 90.00
_cell_angle_beta 90.00
_cell_angle_gamma 90.00
_space_group_name_H-M_alt 'P n m a'
_space_group_IT_number 62
loop_
_space_group_symop_operation_xyz
'x,y,z'
'-x,-y,-z'
'-x+1/2,-y,z+1/2'
'x+1/2,y,-z+1/2'
'x+1/2,-y+1/2,-z+1/2'
'-x+1/2,y+1/2,z+1/2'
'-x,y+1/2,-z'
'x,-y+1/2,z'
loop_
_atom_site_label
_atom_site_fract_x
_atom_site_fract_y
_atom_site_fract_z
Eu1 0.0174 0.2500 0.1812
Eu2 0.1587 0.2500 0.5793
Si1 0.2472 0.2500 0.8992
```